Record 1
Ba2YTlCo2O7: simulated powder X-ray diffraction pattern (a wavelength of 1.5418 Å), based on a cell relaxed with GGA+U.
No peak broadening, texture or thermal motion is included.

Largest 6 diffraction maxima, by angle, 10° ≤ 2θ ≤ 80°:
Position (°2θ)	Rel. int.
26.5	34
30.9	100
31.9	31
32.2	31
45.9	31
56.5	18

Structural model:
abc: 13.3649 13.3649 5.5673
angles: 102.02 102.02 145.59
Element x y z (fractional)
Ba1 0.1024 0.8976 0.0000
Ba2 0.3992 0.6026 0.9996
Ba3 0.6026 0.3992 0.9996
Ba4 0.8976 0.1024 0.0000
Y1 0.2482 0.7472 0.9967
Y2 0.7472 0.2482 0.9967
Tl1 0.0177 0.0177 0.5141
Tl2 0.5485 0.5485 0.5167
Co1 0.1746 0.8227 0.4976
Co2 0.3130 0.6824 0.4968
Co3 0.6824 0.3130 0.4968
Co4 0.8227 0.1746 0.4976
O1 0.0486 0.4387 0.4915
O2 0.0527 0.4425 0.9944
O3 0.1051 0.8941 0.4985
O4 0.3949 0.5664 0.4895
O5 0.4387 0.0486 0.4915
O6 0.4425 0.0527 0.9944
O7 0.5543 0.9424 0.9992
O8 0.5569 0.9449 0.5008
O9 0.5664 0.3949 0.4895
O10 0.6013 0.6013 0.1691
O11 0.8941 0.1051 0.4985
O12 0.9318 0.9318 0.0075
O13 0.9424 0.5543 0.9992
O14 0.9449 0.5569 0.5008

---

Record 2
Ba2Tl2Zn2Co3O10: simulated powder X-ray diffraction pattern (a wavelength of 1.5418 Å), based on a cell relaxed with GGA+U.
No peak broadening, texture or thermal motion is included.

Largest 6 diffraction maxima, by angle, 10° ≤ 2θ ≤ 80°:
Position (°2θ)	Rel. int.
28.6	100
28.7	95
31.4	91
31.9	66
44.8	47
48.9	42

Structural model:
abc: 4.0062 4.0440 17.4379
angles: 96.56 96.59 90.15
Element x y z (fractional)
Ba1 0.0000 0.0000 0.0000
Ba2 0.2795 0.2666 0.5554
Tl1 0.4234 0.4774 0.8463
Tl2 0.8579 0.9045 0.7147
Zn1 0.0920 0.0890 0.1827
Zn2 0.1688 0.6672 0.3369
Co1 0.5650 0.5625 0.1290
Co2 0.6657 0.1667 0.3323
Co3 0.7290 0.7189 0.4557
O1 0.0653 0.5637 0.1296
O2 0.1486 0.1426 0.2947
O3 0.2283 0.7174 0.4536
O4 0.3662 0.2209 0.7294
O5 0.4857 0.4677 0.9706
O6 0.5657 0.0631 0.1302
O7 0.6602 0.6555 0.3195
O8 0.7263 0.2142 0.4481
O9 0.7984 0.7708 0.5933
O10 0.9199 0.7891 0.8369

---

Record 3
BaTmCo4O7: simulated powder X-ray diffraction pattern (a wavelength of 1.5418 Å), based on a cell relaxed with GGA+U.
No peak broadening, texture or thermal motion is included.

Largest 6 diffraction maxima, by angle, 10° ≤ 2θ ≤ 80°:
Position (°2θ)	Rel. int.
28.0	60
30.7	100
33.1	68
33.2	31
33.6	51
55.8	26

Structural model:
abc: 6.3596 6.3596 10.2692
angles: 90.06 90.06 119.79
Element x y z (fractional)
Ba1 0.1539 0.8461 0.5000
Ba2 0.8461 0.1539 0.0000
Tm1 0.1660 0.8298 0.8690
Tm2 0.8298 0.1660 0.3690
Co1 0.1632 0.3378 0.6869
Co2 0.3266 0.6690 0.1892
Co3 0.3378 0.1632 0.1869
Co4 0.4893 0.4911 0.9466
Co5 0.4911 0.4893 0.4466
Co6 0.6690 0.3266 0.6892
Co7 0.6723 0.8397 0.6907
Co8 0.8397 0.6723 0.1907
O1 0.0049 0.0090 0.2483
O2 0.0090 0.0049 0.7483
O3 0.0104 0.5262 0.2757
O4 0.0157 0.5357 0.7230
O5 0.1653 0.3087 0.4958
O6 0.2818 0.6124 0.9975
O7 0.3087 0.1653 0.9958
O8 0.4999 0.5018 0.2576
O9 0.5018 0.4999 0.7576
O10 0.5262 0.0104 0.7757
O11 0.5357 0.0157 0.2230
O12 0.6124 0.2818 0.4975
O13 0.6665 0.8150 0.4950
O14 0.8150 0.6665 0.9950

---

Record 4
Ba2UCoO6: simulated powder X-ray diffraction pattern (a wavelength of 1.5418 Å), based on a cell relaxed with GGA+U.
No peak broadening, texture or thermal motion is included.

Largest 6 diffraction maxima, by angle, 10° ≤ 2θ ≤ 80°:
Position (°2θ)	Rel. int.
18.1	22
29.8	100
35.1	10
42.7	29
52.8	10
53.0	31

Structural model:
abc: 5.9953 5.9953 5.9953
angles: 59.81 59.81 59.81
Element x y z (fractional)
Ba1 0.2490 0.2490 0.2490
Ba2 0.7510 0.7510 0.7510
U1 0.0000 0.0000 0.0000
Co1 0.5000 0.5000 0.5000
O1 0.2475 0.2475 0.7530
O2 0.2475 0.7530 0.2475
O3 0.2470 0.7525 0.7525
O4 0.7530 0.2474 0.2475
O5 0.7525 0.2470 0.7525
O6 0.7525 0.7525 0.2470

---

Record 5
Ba2CoW3O12: simulated powder X-ray diffraction pattern (a wavelength of 1.5418 Å), based on a cell relaxed with GGA+U.
No peak broadening, texture or thermal motion is included.

Largest 6 diffraction maxima, by angle, 10° ≤ 2θ ≤ 80°:
Position (°2θ)	Rel. int.
28.4	77
28.8	100
29.8	44
31.4	35
49.3	37
59.6	36

Structural model:
abc: 7.1202 7.1202 7.1202
angles: 62.54 62.54 62.54
Element x y z (fractional)
Ba1 0.1593 0.1593 0.1593
Ba2 0.8407 0.8407 0.8407
Co1 0.5000 0.5000 0.5000
W1 0.0000 0.5000 0.5000
W2 0.5000 0.0000 0.5000
W3 0.5000 0.5000 0.0000
O1 0.1774 0.1774 0.5535
O2 0.1774 0.5535 0.1774
O3 0.1903 0.5640 0.5640
O4 0.4360 0.4360 0.8097
O5 0.4360 0.8097 0.4360
O6 0.4465 0.8226 0.8226
O7 0.5535 0.1774 0.1774
O8 0.5640 0.1903 0.5640
O9 0.5640 0.5640 0.1903
O10 0.8097 0.4360 0.4360
O11 0.8226 0.4465 0.8226
O12 0.8226 0.8226 0.4465

---

Record 6
BaCoWO6: simulated powder X-ray diffraction pattern (a wavelength of 1.5418 Å), based on a cell relaxed with GGA+U.
No peak broadening, texture or thermal motion is included.

Largest 6 diffraction maxima, by angle, 10° ≤ 2θ ≤ 80°:
Position (°2θ)	Rel. int.
15.3	24
25.1	50
25.2	100
34.8	30
43.5	20
47.2	31

Structural model:
abc: 5.1555 5.1555 5.8010
angles: 90.20 90.20 119.72
Element x y z (fractional)
Ba1 0.0000 0.0000 0.0000
Co1 0.3308 0.6692 0.5000
W1 0.6666 0.3334 0.5000
O1 0.0050 0.3957 0.6895
O2 0.0073 0.6111 0.3124
O3 0.3889 0.9927 0.6876
O4 0.3918 0.3991 0.3108
O5 0.6009 0.6082 0.6892
O6 0.6043 0.9950 0.3105

---

Record 7
Ba2YCo3O8: simulated powder X-ray diffraction pattern (a wavelength of 1.5418 Å), based on a cell relaxed with GGA+U.
No peak broadening, texture or thermal motion is included.

Largest 6 diffraction maxima, by angle, 10° ≤ 2θ ≤ 80°:
Position (°2θ)	Rel. int.
31.5	100
32.6	39
39.3	14
46.8	27
55.3	21
57.5	35

Structural model:
abc: 3.8852 3.8852 12.5086
angles: 90.00 90.00 90.00
Element x y z (fractional)
Ba1 0.0000 0.0000 0.1701
Ba2 0.0000 0.0000 0.8299
Y1 0.0000 0.0000 0.5000
Co1 0.5000 0.5000 0.0000
Co2 0.5000 0.5000 0.3459
Co3 0.5000 0.5000 0.6541
O1 0.0000 0.5000 0.0000
O2 0.0000 0.5000 0.3875
O3 0.0000 0.5000 0.6125
O4 0.5000 0.0000 0.0000
O5 0.5000 0.0000 0.3875
O6 0.5000 0.0000 0.6125
O7 0.5000 0.5000 0.2024
O8 0.5000 0.5000 0.7976

---

Record 8
Ba2Y2Co4O9: simulated powder X-ray diffraction pattern (a wavelength of 1.5418 Å), based on a cell relaxed with GGA+U.
No peak broadening, texture or thermal motion is included.

Largest 6 diffraction maxima, by angle, 10° ≤ 2θ ≤ 80°:
Position (°2θ)	Rel. int.
31.5	94
32.2	87
33.3	100
43.5	31
55.9	39
58.0	37

Structural model:
abc: 8.3225 3.7298 8.8041
angles: 90.00 118.19 90.00
Element x y z (fractional)
Ba1 0.0000 0.0000 0.0000
Ba2 0.4768 0.0000 0.9697
Y1 0.2582 0.0000 0.5021
Y2 0.7257 0.0000 0.5106
Co1 0.0954 0.5000 0.7074
Co2 0.3848 0.5000 0.2360
Co3 0.6207 0.5000 0.7509
Co4 0.8621 0.5000 0.2560
O1 0.0286 0.0000 0.5865
O2 0.1071 0.5000 0.3169
O3 0.2291 0.5000 0.9831
O4 0.3325 0.5000 0.6943
O5 0.3915 0.0000 0.3143
O6 0.5699 0.0000 0.6698
O7 0.6676 0.5000 0.3135
O8 0.7381 0.5000 0.0105
O9 0.8341 0.5000 0.6970

---

Record 9
Ba2Y2Co4O11: simulated powder X-ray diffraction pattern (a wavelength of 1.5418 Å), based on a cell relaxed with GGA+U.
No peak broadening, texture or thermal motion is included.

Largest 6 diffraction maxima, by angle, 10° ≤ 2θ ≤ 80°:
Position (°2θ)	Rel. int.
32.3	46
32.6	100
46.2	17
57.7	19
57.8	17
58.4	21

Structural model:
abc: 3.9279 7.7010 7.8268
angles: 90.00 90.00 90.00
Element x y z (fractional)
Ba1 0.0000 0.0000 0.2492
Ba2 0.0000 0.0000 0.7508
Y1 0.0000 0.5000 0.2282
Y2 0.0000 0.5000 0.7718
Co1 0.5000 0.2548 0.0000
Co2 0.5000 0.2594 0.5000
Co3 0.5000 0.7406 0.5000
Co4 0.5000 0.7452 0.0000
O1 0.0000 0.2794 0.0000
O2 0.0000 0.3151 0.5000
O3 0.0000 0.6849 0.5000
O4 0.0000 0.7206 0.0000
O5 0.5000 0.0000 0.0000
O6 0.5000 0.0000 0.5000
O7 0.5000 0.3029 0.2697
O8 0.5000 0.3029 0.7303
O9 0.5000 0.5000 0.0000
O10 0.5000 0.6971 0.2697
O11 0.5000 0.6971 0.7303